Structure and theoretical powder diffractogram of MnBeGe2O6 (a structure optimized by DFT (GGA+U); Cu Kα, 1.54184 Å).
Neutral-atom scattering factors, no anomalous dispersion.

Main lines, most intense first (2θ from 10° to 90°):
| Position (°2θ) | d/Å | intensity |
| --- | --- | --- |
| 27.79 | 3.210 | 100 |
| 30.82 | 2.901 | 75 |
| 25.62 | 3.477 | 45 |
| 25.09 | 3.550 | 36 |
| 36.48 | 2.463 | 28 |
| 18.39 | 4.824 | 25 |
| 34.51 | 2.599 | 22 |
| 67.66 | 1.385 | 22 |
| 54.06 | 1.696 | 19 |
| 42.01 | 2.151 | 19 |

Atomic structure:
Cell: 6.909 6.909 5.437 Å, 106.04 106.04 88.57°
Positions (direct):
Mn  0.116  0.884  0.750
Mn  0.884  0.116  0.250
Be  0.194  0.806  0.250
Be  0.806  0.194  0.750
Ge  0.220  0.398  0.819
Ge  0.398  0.220  0.319
Ge  0.602  0.780  0.681
Ge  0.780  0.602  0.181
O  0.024  0.203  0.675
O  0.160  0.644  0.955
O  0.203  0.024  0.175
O  0.303  0.411  0.541
O  0.356  0.840  0.545
O  0.411  0.303  0.041
O  0.589  0.697  0.959
O  0.644  0.160  0.455
O  0.697  0.589  0.459
O  0.797  0.976  0.825
O  0.840  0.356  0.045
O  0.976  0.797  0.325